Starting from the PBE geometry in the Materials Project, the XRD peak list of SiO2 was computed for Cu Kα (weighted mean of Kα1 and Kα2).
Kinematic intensities with the Lorentz-polarization factor, no thermal factor.

Cell and atoms:
Lattice parameters (Å, degrees): 11.299 11.299 5.119 90.00 90.00 103.02
Fractional positions:
Si 0.083 0.505 0.098
Si 0.123 0.877 0.500
Si 0.156 0.254 0.023
Si 0.226 0.774 0.000
Si 0.254 0.156 0.523
Si 0.495 0.917 0.098
Si 0.505 0.083 0.598
Si 0.746 0.844 0.023
Si 0.774 0.226 0.500
Si 0.844 0.746 0.523
Si 0.877 0.123 0.000
Si 0.917 0.495 0.598
O 0.023 0.164 0.048
O 0.028 0.512 0.390
O 0.150 0.393 0.083
O 0.155 0.845 0.202
O 0.164 0.023 0.548
O 0.185 0.629 0.042
O 0.194 0.806 0.702
O 0.210 0.247 0.730
O 0.247 0.210 0.230
O 0.371 0.815 0.042
O 0.393 0.150 0.583
O 0.488 0.972 0.390
O 0.512 0.028 0.890
O 0.607 0.850 0.083
O 0.629 0.185 0.542
O 0.753 0.790 0.730
O 0.790 0.753 0.230
O 0.806 0.194 0.202
O 0.815 0.371 0.542
O 0.836 0.977 0.048
O 0.845 0.155 0.702
O 0.850 0.607 0.583
O 0.972 0.488 0.890
O 0.977 0.836 0.548

Largest 10 diffraction maxima, by angle, 2θ from 15° to 90°:
16.10 deg, d = 5.504 Å, rel. 16
19.12 deg, d = 4.642 Å, rel. 11
20.05 deg, d = 4.429 Å, rel. 100
23.75 deg, d = 3.746 Å, rel. 30
23.87 deg, d = 3.727 Å, rel. 64
24.25 deg, d = 3.670 Å, rel. 55
25.33 deg, d = 3.516 Å, rel. 38
35.07 deg, d = 2.559 Å, rel. 22
36.33 deg, d = 2.473 Å, rel. 12
47.83 deg, d = 1.902 Å, rel. 12



Starting from the PBE geometry in the Materials Project, the XRD peak list of SmRhO3 was computed for Cu Kα (weighted mean of Kα1 and Kα2).
Kinematic intensities with the Lorentz-polarization factor, no thermal factor.

Cell and atoms:
Lattice parameters (Å, degrees): 5.885 7.774 5.355 90.00 90.00 90.00
Fractional positions:
Sm 0.082 0.250 0.029
Sm 0.418 0.750 0.529
Sm 0.582 0.250 0.471
Sm 0.918 0.750 0.971
Rh 0.000 0.000 0.500
Rh 0.000 0.500 0.500
Rh 0.500 0.000 0.000
Rh 0.500 0.500 0.000
O 0.044 0.750 0.376
O 0.193 0.558 0.820
O 0.193 0.942 0.820
O 0.307 0.058 0.320
O 0.307 0.442 0.320
O 0.456 0.250 0.876
O 0.544 0.750 0.124
O 0.693 0.558 0.680
O 0.693 0.942 0.680
O 0.807 0.058 0.180
O 0.807 0.442 0.180
O 0.956 0.250 0.624

Largest 10 diffraction maxima, by angle, 2θ from 15° to 90°:
25.23 deg, d = 3.529 Å, rel. 20
30.38 deg, d = 2.943 Å, rel. 18
32.27 deg, d = 2.774 Å, rel. 100
32.54 deg, d = 2.752 Å, rel. 13
33.47 deg, d = 2.678 Å, rel. 24
45.82 deg, d = 1.980 Å, rel. 15
46.73 deg, d = 1.944 Å, rel. 21
50.95 deg, d = 1.792 Å, rel. 14
58.69 deg, d = 1.573 Å, rel. 16
59.07 deg, d = 1.564 Å, rel. 20



What is the formula in the first record? SiO2



Repeat the first record exactly.
Starting from the PBE geometry in the Materials Project, the XRD peak list of SiO2 was computed for Cu Kα (weighted mean of Kα1 and Kα2).
Kinematic intensities with the Lorentz-polarization factor, no thermal factor.

Cell and atoms:
Lattice parameters (Å, degrees): 11.299 11.299 5.119 90.00 90.00 103.02
Fractional positions:
Si 0.083 0.505 0.098
Si 0.123 0.877 0.500
Si 0.156 0.254 0.023
Si 0.226 0.774 0.000
Si 0.254 0.156 0.523
Si 0.495 0.917 0.098
Si 0.505 0.083 0.598
Si 0.746 0.844 0.023
Si 0.774 0.226 0.500
Si 0.844 0.746 0.523
Si 0.877 0.123 0.000
Si 0.917 0.495 0.598
O 0.023 0.164 0.048
O 0.028 0.512 0.390
O 0.150 0.393 0.083
O 0.155 0.845 0.202
O 0.164 0.023 0.548
O 0.185 0.629 0.042
O 0.194 0.806 0.702
O 0.210 0.247 0.730
O 0.247 0.210 0.230
O 0.371 0.815 0.042
O 0.393 0.150 0.583
O 0.488 0.972 0.390
O 0.512 0.028 0.890
O 0.607 0.850 0.083
O 0.629 0.185 0.542
O 0.753 0.790 0.730
O 0.790 0.753 0.230
O 0.806 0.194 0.202
O 0.815 0.371 0.542
O 0.836 0.977 0.048
O 0.845 0.155 0.702
O 0.850 0.607 0.583
O 0.972 0.488 0.890
O 0.977 0.836 0.548

Largest 10 diffraction maxima, by angle, 2θ from 15° to 90°:
16.10 deg, d = 5.504 Å, rel. 16
19.12 deg, d = 4.642 Å, rel. 11
20.05 deg, d = 4.429 Å, rel. 100
23.75 deg, d = 3.746 Å, rel. 30
23.87 deg, d = 3.727 Å, rel. 64
24.25 deg, d = 3.670 Å, rel. 55
25.33 deg, d = 3.516 Å, rel. 38
35.07 deg, d = 2.559 Å, rel. 22
36.33 deg, d = 2.473 Å, rel. 12
47.83 deg, d = 1.902 Å, rel. 12